1.
The following is a calculated powder diffraction line list of Li7VN4. It was derived from a structure optimized by DFT (PBE), using Cu Kα (weighted mean of Kα1 and Kα2).
Neutral-atom scattering factors, no anomalous dispersion.

Crystal structure
a b c (Å): 6.775 6.775 4.889
angles (deg): 90.00 90.00 90.00
Space group P4_2/nmc (No. 137, origin choice 2)
Symmetry-distinct sites (fractional):
1 Li 0.014 0.514 0.250
2 Li 0.250 0.250 0.169
3 Li 0.250 0.750 0.250
4 V 0.250 0.750 0.750
5 N 0.025 0.750 0.538

The 12 most intense peaks (2θ = 15–90°), most intense first:
hkl, 2theta, I/Imax
1 0 1, 22.43, 100
1 1 0, 18.52, 91
2 2 2, 53.56, 45
2 0 1, 32.15, 40
2 1 1, 34.84, 40
2 0 0, 26.31, 27
4 0 0, 54.15, 24
3 0 1, 44.18, 16
3 1 2, 57.17, 15
1 1 2, 41.47, 13
2 1 3, 64.98, 11
4 1 1, 59.34, 10

=====

2.
The following is a calculated powder diffraction line list of Li3W2N5. It was derived from a structure optimized by DFT (PBE), using Cu Kα (weighted mean of Kα1 and Kα2).
Neutral-atom scattering factors, no anomalous dispersion.

Crystal structure
a b c (Å): 11.539 11.539 8.362
angles (deg): 90.00 90.00 90.00
Space group I4_1 (No. 80)
Symmetry-distinct sites (fractional):
1 Li 0.000 0.000 0.000
2 Li 0.000 0.000 0.353
3 Li 0.069 0.838 0.590
4 Li 0.092 0.253 0.371
5 W 0.080 0.312 0.931
6 W 0.101 0.789 0.168
7 N 0.032 0.132 0.169
8 N 0.085 0.680 0.997
9 N 0.088 0.102 0.521
10 N 0.102 0.724 0.381
11 N 0.133 0.167 0.856

The 12 most intense peaks (2θ = 15–90°), most intense first:
hkl, 2theta, I/Imax
2 1 1, 20.22, 100
1 3 2, 32.57, 55
3 4 1, 40.55, 25
4 2 0, 34.77, 21
2 1 3, 36.64, 18
3 4 3, 51.40, 15
5 5 2, 60.95, 15
4 2 4, 56.67, 11
1 1 2, 23.92, 10
2 2 0, 21.79, 9
2 6 0, 49.99, 7
1 8 1, 66.25, 7

=====

3.
The following is a calculated powder diffraction line list of LiYN. It was derived from a structure optimized by DFT (PBE), using Cu Kα (weighted mean of Kα1 and Kα2).
Neutral-atom scattering factors, no anomalous dispersion.

Crystal structure
a b c (Å): 8.634 4.901 4.904
angles (deg): 90.00 90.00 90.00
Space group Aem2 (No. 39)
Symmetry-distinct sites (fractional):
1 Li 0.000 0.000 0.000
2 Y 0.361 0.250 0.172
3 N 0.373 0.250 0.669

The 12 most intense peaks (2θ = 15–90°), most intense first:
hkl, 2theta, I/Imax
2 1 1, 33.14, 100
1 1 1, 27.73, 99
0 0 2, 36.66, 67
1 2 0, 38.16, 60
3 0 0, 31.08, 46
3 0 2, 48.80, 40
4 2 0, 56.83, 36
2 3 1, 63.79, 31
0 2 2, 52.82, 25
1 3 1, 60.69, 22
3 2 2, 62.56, 21
4 0 0, 41.85, 19

=====

4.
The following is a calculated powder diffraction line list of Li4ZnN2. It was derived from a structure optimized by DFT (PBE), using Cu Kα (weighted mean of Kα1 and Kα2).
Neutral-atom scattering factors, no anomalous dispersion.

Crystal structure
a b c (Å): 3.6489 3.6489 19.2737
angles (deg): 90.00 90.00 120.00
Space group R-3m (No. 166, hexagonal axes)
Symmetry-distinct sites (fractional):
1 Li 0.0000 0.0000 0.0818
2 Li 0.0000 0.0000 0.2982
3 Zn 0.0000 0.0000 0.5000
4 N 0.0000 0.0000 0.4039

The 12 most intense peaks (2θ = 15–90°), most intense first:
hkl, 2theta, I/Imax
1 0 1, 28.63, 100
0 1 2, 29.75, 70
1 1 0, 49.99, 34
0 1 5, 36.78, 26
1 0 10, 55.88, 21
1 0 4, 33.92, 20
1 1 9, 67.44, 16
1 1 3, 52.11, 15
1 0 7, 43.60, 14
0 0 9, 42.20, 12
0 1 8, 47.45, 11
0 2 1, 58.62, 11

=====

5.
The following is a calculated powder diffraction line list of LiZrN3. It was derived from a structure optimized by DFT (PBE), using Cu Kα (weighted mean of Kα1 and Kα2).
Neutral-atom scattering factors, no anomalous dispersion.

Crystal structure
a b c (Å): 3.552 3.552 3.552
angles (deg): 90.00 90.00 90.00
Space group Pm-3m (No. 221)
Symmetry-distinct sites (fractional):
1 Li 0.000 0.000 0.000
2 Zr 0.500 0.500 0.500
3 N 0.000 0.000 0.500

The 9 most intense peaks (2θ = 15–90°), most intense first:
hkl, 2theta, I/Imax
1 1 0, 35.75, 100
1 0 0, 25.07, 96
1 1 1, 44.17, 79
2 0 0, 51.46, 42
2 1 0, 58.07, 39
2 1 1, 64.24, 37
2 2 0, 75.75, 23
3 0 0, 81.26, 19
3 1 0, 86.69, 16

=====

6.
The following is a calculated powder diffraction line list of LiZr2N3. It was derived from a structure optimized by DFT (PBE), using Cu Kα (weighted mean of Kα1 and Kα2).
Neutral-atom scattering factors, no anomalous dispersion.

Crystal structure
a b c (Å): 5.551 3.260 8.499
angles (deg): 90.00 107.49 90.00
Space group P2_1/m (No. 11)
Symmetry-distinct sites (fractional):
1 Li 0.024 0.250 0.359
2 Zr 0.239 0.250 0.983
3 Zr 0.474 0.250 0.659
4 N 0.164 0.750 0.138
5 N 0.285 0.750 0.500
6 N 0.360 0.750 0.838

The 12 most intense peaks (2θ = 15–90°), most intense first:
hkl, 2theta, I/Imax
1 1 -2, 36.23, 100
1 0 0, 16.74, 77
1 1 1, 35.81, 72
0 0 3, 33.15, 41
2 0 1, 38.83, 40
2 0 -1, 32.26, 38
2 0 -2, 34.45, 37
3 1 -1, 57.43, 36
0 1 1, 29.54, 36
1 0 1, 22.65, 32
1 1 -3, 42.87, 29
1 1 3, 50.73, 23